Starting from a PBE-relaxed structure, the powder diffraction line list of Co15Hg was simulated for Cu Kα (λ = 1.5418 Å).
Lines closer than 0.1° are merged.

The 8 most intense peaks (15° ≤ 2θ ≤ 90°), sorted by position:
d 2.368, I = 13
d 2.228, I = 18
d 2.062, I = 95
d 2.005, I = 100
d 1.748, I = 69
d 1.712, I = 12
d 1.236, I = 20
d 1.223, I = 13

Crystal structure
```
Co15Hg
1.0
3.496 0.000 0.000
0.000 3.498 0.000
0.000 0.000 41.091
Co Hg
30 2
Direct
0.000 0.000 0.000
0.000 0.000 0.082
0.000 0.000 0.166
0.000 0.000 0.251
0.000 0.000 0.336
0.000 0.000 0.420
0.000 0.000 0.505
0.000 0.000 0.590
0.000 0.500 0.039
0.000 0.500 0.124
0.000 0.500 0.209
0.000 0.500 0.293
0.000 0.500 0.378
0.000 0.500 0.462
0.000 0.500 0.547
0.000 0.500 0.629
0.500 0.000 0.039
0.500 0.000 0.124
0.500 0.000 0.209
0.500 0.000 0.293
0.500 0.000 0.378
0.500 0.000 0.463
0.500 0.000 0.548
0.500 0.500 0.081
0.500 0.500 0.166
0.500 0.500 0.251
0.500 0.500 0.336
0.500 0.500 0.420
0.500 0.500 0.505
0.500 0.500 0.590
0.500 0.000 0.653
0.500 0.500 0.975
```